(1)
Structure and calculated powder X-ray diffraction pattern of TaTlCu2Cl8 (a DFT-relaxed cell (GGA-PBE, Alexandria); λ = 1.5418 Å (Cu Kα)).

Largest 10 diffraction maxima, in order of rising 2θ, 10 to 90 degrees two-theta:
hkl	2θ (°)	d/Å	I (rel.)
0 1 2	17.82	4.978	19
1 0 4	20.06	4.427	100
0 1 8	27.30	3.266	30
1 1 0	29.68	3.010	37
1 1 6	33.83	2.650	18
0 2 4	36.08	2.489	22
1 1 12	44.23	2.048	32
2 1 4	47.39	1.918	20
1 2 8	51.23	1.783	12
3 0 0	52.67	1.738	16

abc: 6.0203 6.0203 33.5231
angles: 90.00 90.00 120.00
Space group R32 (No. 155, hexagonal axes)
Asymmetric unit:
Ta (0.0000, 0.0000, 0.0000)
Tl (0.0000, 0.0000, 0.5000)
Cu (0.0000, 0.0000, 0.2570)
Cl (0.0000, 0.0000, 0.1923)
Cl (0.0077, 0.3096, 0.0460)

=====

(2)
Structure and calculated powder X-ray diffraction pattern of Cu2TcCl (a DFT-relaxed cell (GGA-PBE, Alexandria); λ = 1.5418 Å (Cu Kα)).

Largest 10 diffraction maxima, in order of rising 2θ, 10 to 90 degrees two-theta:
hkl	2θ (°)	d/Å	I (rel.)
0 0 3	11.22	7.888	28
1 0 1	35.88	2.503	8
1 0 4	38.88	2.316	100
0 0 12	46.03	1.972	20
0 1 8	47.43	1.917	55
1 1 0	64.08	1.453	21
1 0 16	74.40	1.275	13
0 2 4	77.55	1.231	12
1 1 12	82.45	1.170	20
2 0 8	83.47	1.158	10

abc: 2.9064 2.9064 23.6633
angles: 90.00 90.00 120.00
Space group R-3m (No. 166, hexagonal axes)
Asymmetric unit:
Cu (0.0000, 0.0000, 0.2475)
Tc (0.0000, 0.0000, 0.0000)
Cl (0.0000, 0.0000, 0.5000)

=====

(3)
Structure and calculated powder X-ray diffraction pattern of CuTcCl4 (a DFT-relaxed cell (GGA-PBE, Alexandria); λ = 1.5418 Å (Cu Kα)).

Largest 10 diffraction maxima, in order of rising 2θ, 10 to 90 degrees two-theta:
hkl	2θ (°)	d/Å	I (rel.)
0 2 0	10.95	8.077	97
0 2 1	20.31	4.373	100
1 3 -1	22.26	3.994	20
2 2 -1	26.16	3.407	27
1 1 1	28.36	3.147	20
2 4 -1	32.54	2.751	72
0 0 2	34.49	2.600	41
1 5 -2	40.38	2.234	16
2 4 -3	49.05	1.857	22
3 5 0	52.33	1.748	16

abc: 7.524 16.153 6.274
angles: 90.00 124.01 90.00
Space group C2/c (No. 15)
Asymmetric unit:
Cu (0.000, 0.136, 0.250)
Tc (0.000, 0.309, 0.750)
Cl (0.188, 0.201, 0.693)
Cl (0.205, 0.413, 0.713)

=====

(4)
Structure and calculated powder X-ray diffraction pattern of Cu2TeCl (a DFT-relaxed cell (GGA-PBE, Alexandria); λ = 1.5418 Å (Cu Kα)).

Largest 10 diffraction maxima, in order of rising 2θ, 10 to 90 degrees two-theta:
hkl	2θ (°)	d/Å	I (rel.)
1 0 0	13.84	6.396	100
1 1 0	26.92	3.312	46
0 1 2	27.12	3.288	65
2 0 -4	28.82	3.097	54
2 1 -2	33.79	2.653	41
0 1 4	36.99	2.431	73
3 0 -4	38.01	2.367	36
1 1 4	44.55	2.034	53
0 2 0	46.95	1.935	37
3 1 0	48.76	1.868	45

abc: 7.290 3.871 14.237
angles: 90.00 118.67 90.00
Space group P2/c (No. 13)
Asymmetric unit:
Cu (0.165, 0.019, 0.492)
Cu (0.286, 0.483, 0.845)
Te (0.039, 0.485, 0.633)
Cl (0.496, 0.013, 0.375)

=====

(5)
Structure and calculated powder X-ray diffraction pattern of Cu3Te2Cl (a DFT-relaxed cell (GGA-PBE, Alexandria); λ = 1.5418 Å (Cu Kα)).

Largest 10 diffraction maxima, in order of rising 2θ, 10 to 90 degrees two-theta:
hkl	2θ (°)	d/Å	I (rel.)
0 1 -1	14.38	6.160	100
0 0 2	18.48	4.800	33
1 0 0	21.91	4.057	19
-1 1 2	26.51	3.363	19
0 2 1	26.82	3.324	25
1 1 -1	27.18	3.280	30
0 1 -3	29.25	3.053	36
1 -2 2	35.27	2.544	22
-1 3 2	41.71	2.166	36
-2 1 1	42.20	2.142	21

abc: 4.288 7.629 9.858
angles: 92.84 101.74 103.97
Space group P-1 (No. 2)
Asymmetric unit:
Cu (0.121, 0.371, 0.011)
Cu (0.225, 0.214, 0.781)
Cu (0.367, 0.966, 0.257)
Te (0.015, 0.904, 0.618)
Te (0.203, 0.598, 0.234)
Cl (0.409, 0.173, 0.079)

=====

(6)
Structure and calculated powder X-ray diffraction pattern of CuTe3Cl (a DFT-relaxed cell (GGA-PBE, Alexandria); λ = 1.5418 Å (Cu Kα)).

Largest 10 diffraction maxima, in order of rising 2θ, 10 to 90 degrees two-theta:
hkl	2θ (°)	d/Å	I (rel.)
0 0 1	12.14	7.293	28
0 1 1	17.26	5.136	13
1 0 1	20.36	4.361	24
0 0 2	24.41	3.646	33
1 1 2	32.03	2.795	21
1 2 1	32.14	2.785	100
2 0 2	41.39	2.182	20
2 2 0	41.51	2.175	15
1 2 3	48.09	1.892	20
3 0 1	51.93	1.761	15

abc: 5.445 7.235 7.293
angles: 90.00 90.06 90.00
Space group Pm (No. 6)
Asymmetric unit:
Cu (0.000, 0.000, 0.000)
Cu (0.500, 0.500, 0.001)
Te (0.242, 0.252, 0.207)
Te (0.359, 0.000, 0.729)
Te (0.742, 0.248, 0.795)
Te (0.860, 0.500, 0.272)
Cl (0.188, 0.500, 0.760)
Cl (0.689, 0.000, 0.241)

=====

(7)
Structure and calculated powder X-ray diffraction pattern of ThCu3Cl9 (a DFT-relaxed cell (GGA-PBE, Alexandria); λ = 1.5418 Å (Cu Kα)).

Largest 10 diffraction maxima, in order of rising 2θ, 10 to 90 degrees two-theta:
hkl	2θ (°)	d/Å	I (rel.)
1 1 -1	12.35	7.168	32
1 1 1	16.63	5.331	100
3 1 -1	17.86	4.966	18
3 1 -2	18.71	4.741	17
4 0 -2	19.33	4.593	16
3 1 -3	22.98	3.870	23
2 0 2	26.22	3.399	15
2 0 -4	28.50	3.132	15
4 2 0	32.00	2.797	20
7 1 -5	39.61	2.275	15

abc: 18.518 8.590 13.113
angles: 90.00 127.23 90.00
Space group Cc (No. 9)
Asymmetric unit:
Th (0.000, 0.221, 0.000)
Cu (0.152, 0.136, 0.849)
Cu (0.236, 0.412, 0.729)
Cu (0.352, 0.084, 0.658)
Cl (0.022, 0.091, 0.830)
Cl (0.129, 0.031, 0.183)
Cl (0.138, 0.409, 0.062)
Cl (0.152, 0.383, 0.797)
Cl (0.287, 0.315, 0.628)
Cl (0.297, 0.107, 0.015)
Cl (0.371, 0.496, 0.422)
Cl (0.385, 0.055, 0.336)
Cl (0.481, 0.166, 0.675)

=====

(8)
Structure and calculated powder X-ray diffraction pattern of ThTlCuCl6 (a DFT-relaxed cell (GGA-PBE, Alexandria); λ = 1.5418 Å (Cu Kα)).

Largest 10 diffraction maxima, in order of rising 2θ, 10 to 90 degrees two-theta:
hkl	2θ (°)	d/Å	I (rel.)
1 0 1	16.36	5.418	18
1 0 2	19.40	4.575	100
1 1 0	26.51	3.362	28
2 0 2	33.07	2.709	24
1 1 4	36.11	2.487	60
1 0 6	39.71	2.270	15
2 1 2	42.87	2.109	26
3 0 0	46.81	1.941	19
3 -1 6	56.03	1.641	13
4 -2 4	60.51	1.530	13

abc: 6.7234 6.7234 14.7894
angles: 90.00 90.00 120.00
Space group P-31c (No. 163)
Asymmetric unit:
Th (0.3333, 0.6667, 0.2500)
Tl (0.0000, 0.0000, 0.0000)
Cu (0.3333, 0.6667, 0.7500)
Cl (0.0136, 0.3679, 0.6462)